Starting from a cell relaxed with GGA+U, the powder diffraction line list of Mn15Br6O20 was calculated for Cu Ka.
No peak broadening, texture or thermal motion is included.

Structural model:
```
data_Mn15Br6O20
_cell_length_a 13.339
_cell_length_b 13.339
_cell_length_c 13.339
_cell_angle_alpha 90.00
_cell_angle_beta 90.00
_cell_angle_gamma 90.00
_symmetry_space_group_name_H-M 'F m -3 m'
_symmetry_Int_Tables_number 225
_symmetry_space_group_name_Hall '-F 4 2 3'
loop_
_atom_site_label
_atom_site_type_symbol
_atom_site_fract_x
_atom_site_fract_y
_atom_site_fract_z
Mn1 Mn 0.000 0.000 0.000
Mn2 Mn 0.000 0.175 0.175
Mn3 Mn 0.250 0.250 0.250
Br1 Br 0.000 0.000 0.300
O1 O 0.098 0.250 0.250
O2 O 0.100 0.100 0.100
```

Largest 8 diffraction maxima, in order of rising 2θ, 2θ = 5–70°:
d_spacing  2theta  I (rel.)  index
7.701  11.49  19  1 1 1
3.335  26.73  46  4 0 0
3.060  29.18  35  3 3 1
2.567  34.95  100  3 3 3
2.223  40.58  22  6 0 0
2.011  45.09  25  6 2 2
1.630  56.47  20  7 3 3
1.572  58.74  40  6 6 0